For Ba5Sr2, a GGA-PBE-relaxed structure gives the theoretical powder diffraction line list in this record (Cu Kα (weighted mean of Kα1 and Kα2)).
Kinematic intensities with the Lorentz-polarization factor, no thermal factor.

Cell and atoms:
Lattice parameters (Å, degrees): 10.7571 10.7571 10.7571 37.93 37.93 37.93
Fractional positions:
Ba (0.0000, 0.0000, 0.0000)
Ba (0.2854, 0.2854, 0.2854)
Ba (0.4295, 0.4295, 0.4295)
Ba (0.5705, 0.5705, 0.5705)
Ba (0.7146, 0.7146, 0.7146)
Sr (0.1438, 0.1438, 0.1438)
Sr (0.8562, 0.8562, 0.8562)

Largest 10 diffraction maxima, by angle, 2θ from 10° to 90°:
d [Å]	2θ (°)	Rel. int.
3.493	25.5	100.0
2.470	36.4	19.6
2.017	44.9	42.8
1.747	52.4	13.6
1.562	59.1	18.9
1.427	65.4	3.5
1.321	71.4	10.9
1.320	71.5	10.8
1.165	82.9	7.4
1.164	83.0	3.7

=====

For Ba2Sr17, a GGA-PBE-relaxed structure gives the theoretical powder diffraction line list in this record (Cu Kα (weighted mean of Kα1 and Kα2)).
Kinematic intensities with the Lorentz-polarization factor, no thermal factor.

Cell and atoms:
Lattice parameters (Å, degrees): 10.5187 10.5187 10.5187 81.70 81.70 81.70
Fractional positions:
Ba (0.1775, 0.1775, 0.1775)
Ba (0.8225, 0.8225, 0.8225)
Sr (0.0000, 0.5000, 0.5000)
Sr (0.1535, 0.1535, 0.6558)
Sr (0.1535, 0.6558, 0.1535)
Sr (0.1963, 0.5000, 0.8037)
Sr (0.1963, 0.8037, 0.5000)
Sr (0.3442, 0.8465, 0.8465)
Sr (0.4040, 0.4040, 0.4040)
Sr (0.5000, 0.0000, 0.5000)
Sr (0.5000, 0.1963, 0.8037)
Sr (0.5000, 0.5000, 0.0000)
Sr (0.5000, 0.8037, 0.1963)
Sr (0.5960, 0.5960, 0.5960)
Sr (0.6558, 0.1535, 0.1535)
Sr (0.8037, 0.1963, 0.5000)
Sr (0.8037, 0.5000, 0.1963)
Sr (0.8465, 0.3442, 0.8465)
Sr (0.8465, 0.8465, 0.3442)

Largest 10 diffraction maxima, by angle, 2θ from 10° to 90°:
d [Å]	2θ (°)	Rel. int.
3.972	22.4	17.7
3.906	22.8	9.8
3.442	25.9	100.0
3.398	26.2	15.0
3.079	29.0	35.8
2.434	36.9	11.4
2.177	41.5	13.4
1.988	45.6	28.4
1.721	53.2	15.0
1.302	72.6	6.9

=====

For Ba7Sr2, a GGA-PBE-relaxed structure gives the theoretical powder diffraction line list in this record (Cu Kα (weighted mean of Kα1 and Kα2)).
Kinematic intensities with the Lorentz-polarization factor, no thermal factor.

Cell and atoms:
Lattice parameters (Å, degrees): 12.2083 12.2083 4.3093 90.00 90.00 120.00
Fractional positions:
Ba (0.0000, 0.0000, 0.0000)
Ba (0.0000, 0.3136, 0.5000)
Ba (0.0000, 0.6444, 0.0000)
Ba (0.3136, 0.0000, 0.5000)
Ba (0.3556, 0.3556, 0.0000)
Ba (0.6444, 0.0000, 0.0000)
Ba (0.6864, 0.6864, 0.5000)
Sr (0.3333, 0.6667, 0.5000)
Sr (0.6667, 0.3333, 0.5000)

Largest 10 diffraction maxima, by angle, 2θ from 10° to 90°:
d [Å]	2θ (°)	Rel. int.
3.993	22.3	6.7
3.523	25.3	100.0
3.340	26.7	10.0
2.931	30.5	9.0
2.491	36.1	15.9
2.114	42.8	8.7
2.034	44.5	25.8
1.898	47.9	6.5
1.838	49.6	17.4
1.479	62.8	7.3

=====

For BaSr5, a GGA-PBE-relaxed structure gives the theoretical powder diffraction line list in this record (Cu Kα (weighted mean of Kα1 and Kα2)).
Kinematic intensities with the Lorentz-polarization factor, no thermal factor.

Cell and atoms:
Lattice parameters (Å, degrees): 4.2968 4.2968 18.1783 90.00 90.00 90.00
Fractional positions:
Ba (0.0000, 0.0000, 0.0000)
Sr (0.0000, 0.0000, 0.3378)
Sr (0.0000, 0.0000, 0.6622)
Sr (0.5000, 0.5000, 0.1744)
Sr (0.5000, 0.5000, 0.5000)
Sr (0.5000, 0.5000, 0.8256)

Largest 10 diffraction maxima, by angle, 2θ from 10° to 90°:
d [Å]	2θ (°)	Rel. int.
3.505	25.4	100.0
3.035	29.4	51.5
2.146	42.1	38.0
1.832	49.8	31.3
1.828	49.9	14.5
1.752	52.2	13.2
1.393	67.2	18.2
1.358	69.2	11.6
1.240	76.9	8.5
1.169	82.5	10.7

=====

For Ba17Sr12, a GGA-PBE-relaxed structure gives the theoretical powder diffraction line list in this record (Cu Kα (weighted mean of Kα1 and Kα2)).
Kinematic intensities with the Lorentz-polarization factor, no thermal factor.

Cell and atoms:
Lattice parameters (Å, degrees): 13.1949 13.1949 13.1949 109.47 109.47 109.47
Fractional positions:
Ba (0.0000, 0.0000, 0.0000)
Ba (0.0000, 0.0000, 0.3563)
Ba (0.0000, 0.3145, 0.5913)
Ba (0.0000, 0.3563, 0.0000)
Ba (0.0000, 0.5913, 0.3145)
Ba (0.2767, 0.6855, 0.6855)
Ba (0.3145, 0.0000, 0.5913)
Ba (0.3145, 0.5913, 0.0000)
Ba (0.3563, 0.0000, 0.0000)
Ba (0.4087, 0.4087, 0.7233)
Ba (0.4087, 0.7233, 0.4087)
Ba (0.5913, 0.0000, 0.3145)
Ba (0.5913, 0.3145, 0.0000)
Ba (0.6437, 0.6437, 0.6437)
Ba (0.6855, 0.2767, 0.6855)
Ba (0.6855, 0.6855, 0.2767)
Ba (0.7233, 0.4087, 0.4087)
Sr (0.0000, 0.6255, 0.8126)
Sr (0.0000, 0.8126, 0.6255)
Sr (0.1874, 0.1874, 0.8129)
Sr (0.1871, 0.3745, 0.3745)
Sr (0.1874, 0.8129, 0.1874)
Sr (0.3745, 0.1871, 0.3745)
Sr (0.3745, 0.3745, 0.1871)
Sr (0.6255, 0.0000, 0.8126)
Sr (0.6255, 0.8126, 0.0000)
Sr (0.8126, 0.0000, 0.6255)
Sr (0.8129, 0.1874, 0.1874)
Sr (0.8126, 0.6255, 0.0000)

Largest 10 diffraction maxima, by angle, 2θ from 10° to 90°:
d [Å]	2θ (°)	Rel. int.
3.809	23.4	8.6
3.591	24.8	100.0
3.248	27.5	22.5
3.110	28.7	11.6
2.988	29.9	11.4
2.155	41.9	9.0
2.073	43.7	31.3
1.796	50.9	7.5
1.771	51.6	7.1
1.453	64.1	6.3

=====

For Ba13Sr3, a GGA-PBE-relaxed structure gives the theoretical powder diffraction line list in this record (Cu Kα (weighted mean of Kα1 and Kα2)).
Kinematic intensities with the Lorentz-polarization factor, no thermal factor.

Cell and atoms:
Lattice parameters (Å, degrees): 8.8414 10.5712 10.5712 87.13 90.00 90.00
Fractional positions:
Ba (0.0000, 0.0001, 0.0001)
Ba (0.0000, 0.4118, 0.9173)
Ba (0.0000, 0.4945, 0.4945)
Ba (0.0000, 0.9173, 0.4118)
Ba (0.2502, 0.1658, 0.6619)
Ba (0.2502, 0.6619, 0.1658)
Ba (0.2508, 0.7457, 0.7457)
Ba (0.5000, 0.0000, 0.0000)
Ba (0.5000, 0.4124, 0.9150)
Ba (0.5000, 0.9150, 0.4124)
Ba (0.7492, 0.7457, 0.7457)
Ba (0.7498, 0.1658, 0.6619)
Ba (0.7498, 0.6619, 0.1658)
Sr (0.2507, 0.2484, 0.2484)
Sr (0.5000, 0.4949, 0.4949)
Sr (0.7493, 0.2484, 0.2484)

Largest 10 diffraction maxima, by angle, 2θ from 10° to 90°:
d [Å]	2θ (°)	Rel. int.
3.829	23.2	22.9
3.643	24.4	26.6
3.390	26.3	100.0
2.639	34.0	17.2
2.211	40.8	20.3
2.051	44.2	24.3
1.890	48.1	25.1
1.852	49.2	17.7
1.420	65.8	14.8
1.243	76.6	9.7

=====

For Ba7Sr2, a GGA-PBE-relaxed structure gives the theoretical powder diffraction line list in this record (Cu Kα (weighted mean of Kα1 and Kα2)).
Kinematic intensities with the Lorentz-polarization factor, no thermal factor.

Cell and atoms:
Lattice parameters (Å, degrees): 7.6809 7.6809 10.9002 90.00 90.00 120.00
Fractional positions:
Ba (0.0000, 0.0000, 0.0000)
Ba (0.0000, 0.3348, 0.6699)
Ba (0.0000, 0.6652, 0.3301)
Ba (0.3348, 0.0000, 0.6699)
Ba (0.3348, 0.3348, 0.3301)
Ba (0.6652, 0.0000, 0.3301)
Ba (0.6652, 0.6652, 0.6699)
Sr (0.3333, 0.6667, 0.0000)
Sr (0.6667, 0.3333, 0.0000)

Largest 10 diffraction maxima, by angle, 2θ from 10° to 90°:
d [Å]	2θ (°)	Rel. int.
3.625	24.6	100.0
3.139	28.4	51.7
2.220	40.6	39.2
1.894	48.0	35.7
1.891	48.1	12.0
1.811	50.4	10.4
1.439	64.8	9.9
1.405	66.5	9.0
1.403	66.7	9.0
1.281	74.0	10.1

=====

For BaSr2Tc, a GGA-PBE-relaxed structure gives the theoretical powder diffraction line list in this record (Cu Kα (weighted mean of Kα1 and Kα2)).
Kinematic intensities with the Lorentz-polarization factor, no thermal factor.

Cell and atoms:
Lattice parameters (Å, degrees): 8.4340 8.4340 8.4340 154.81 140.24 47.65
Fractional positions:
Ba (0.0000, 0.0000, 0.0000)
Sr (0.3352, 0.8352, 0.5000)
Sr (0.6733, 0.6733, 0.0000)
Tc (0.8373, 0.3373, 0.5000)

Largest 10 diffraction maxima, by angle, 2θ from 10° to 90°:
d [Å]	2θ (°)	Rel. int.
7.715	11.5	19.1
5.377	16.5	32.5
3.829	23.2	34.8
2.992	29.9	23.5
2.872	31.1	100.0
2.572	34.9	23.8
2.415	37.2	47.9
2.070	43.7	16.2
1.915	47.5	19.6
1.553	59.5	15.1

=====

For BaSrTe4, a GGA-PBE-relaxed structure gives the theoretical powder diffraction line list in this record (Cu Kα (weighted mean of Kα1 and Kα2)).
Kinematic intensities with the Lorentz-polarization factor, no thermal factor.

Cell and atoms:
Lattice parameters (Å, degrees): 7.1353 7.1353 8.8609 90.00 90.00 90.00
Fractional positions:
Ba (0.2500, 0.2500, 0.0000)
Ba (0.7500, 0.7500, 0.0000)
Sr (0.2500, 0.2500, 0.5000)
Sr (0.7500, 0.7500, 0.5000)
Te (0.1099, 0.6099, 0.2627)
Te (0.1099, 0.8901, 0.7373)
Te (0.3901, 0.6099, 0.7373)
Te (0.3901, 0.8901, 0.2627)
Te (0.6099, 0.1099, 0.7373)
Te (0.6099, 0.3901, 0.2627)
Te (0.8901, 0.1099, 0.2627)
Te (0.8901, 0.3901, 0.7373)

Largest 10 diffraction maxima, by angle, 2θ from 10° to 90°:
d [Å]	2θ (°)	Rel. int.
4.430	20.0	17.5
3.329	26.8	82.2
3.002	29.8	100.0
2.779	32.2	28.3
2.256	40.0	39.5
2.215	40.7	18.1
2.168	41.7	37.7
1.655	55.5	27.9
1.581	58.4	24.3
1.572	58.7	18.4

=====

For Ba4SrTl2, a GGA-PBE-relaxed structure gives the theoretical powder diffraction line list in this record (Cu Kα (weighted mean of Kα1 and Kα2)).
Kinematic intensities with the Lorentz-polarization factor, no thermal factor.

Cell and atoms:
Lattice parameters (Å, degrees): 6.4150 6.4150 18.9554 90.00 90.00 119.97
Fractional positions:
Ba (0.0000, 0.0000, 0.0000)
Ba (0.0000, 0.0000, 0.5000)
Ba (0.3330, 0.6670, 0.6192)
Ba (0.3330, 0.6670, 0.8808)
Ba (0.3339, 0.6661, 0.2500)
Ba (0.6661, 0.3339, 0.7500)
Ba (0.6670, 0.3330, 0.1192)
Ba (0.6670, 0.3330, 0.3808)
Sr (0.0005, 0.9995, 0.2500)
Sr (0.9995, 0.0005, 0.7500)
Tl (0.3337, 0.6663, 0.0694)
Tl (0.3337, 0.6663, 0.4306)
Tl (0.6663, 0.3337, 0.5694)
Tl (0.6663, 0.3337, 0.9306)

Largest 10 diffraction maxima, by angle, 2θ from 10° to 90°:
d [Å]	2θ (°)	Rel. int.
3.606	24.7	26.8
3.208	27.8	100.0
3.132	28.5	50.5
2.747	32.6	13.8
2.251	40.1	17.7
2.241	40.2	20.1
1.852	49.2	20.8
1.837	49.6	22.0
1.604	57.5	13.1
1.332	70.7	13.9

=====

For Ba3Sr3Tl4, a GGA-PBE-relaxed structure gives the theoretical powder diffraction line list in this record (Cu Kα (weighted mean of Kα1 and Kα2)).
Kinematic intensities with the Lorentz-polarization factor, no thermal factor.

Cell and atoms:
Lattice parameters (Å, degrees): 4.4227 9.7524 9.7524 89.68 90.00 90.00
Fractional positions:
Ba (0.0000, 0.0000, 0.0000)
Ba (0.0000, 0.4934, 0.8160)
Ba (0.0000, 0.8160, 0.4934)
Sr (0.0000, 0.3197, 0.3197)
Sr (0.5000, 0.1571, 0.6525)
Sr (0.5000, 0.6525, 0.1571)
Tl (0.5000, 0.0341, 0.2957)
Tl (0.5000, 0.2957, 0.0341)
Tl (0.5000, 0.5160, 0.5160)
Tl (0.5000, 0.7929, 0.7929)

Largest 10 diffraction maxima, by angle, 2θ from 10° to 90°:
d [Å]	2θ (°)	Rel. int.
6.898	12.8	16.7
3.105	28.7	100.0
3.084	29.0	40.2
2.438	36.9	11.2
2.304	39.1	11.0
2.211	40.8	11.3
1.797	50.8	17.0
1.679	54.7	11.2
1.673	54.9	10.6
1.397	67.0	9.2

=====

For Ba2SrY, a GGA-PBE-relaxed structure gives the theoretical powder diffraction line list in this record (Cu Kα (weighted mean of Kα1 and Kα2)).
Kinematic intensities with the Lorentz-polarization factor, no thermal factor.

Cell and atoms:
Lattice parameters (Å, degrees): 3.9733 6.5111 7.7415 90.00 100.30 90.00
Fractional positions:
Ba (0.0000, 0.0000, 0.0000)
Ba (0.2293, 0.5000, 0.7307)
Sr (0.7328, 0.5000, 0.2587)
Y (0.4905, 0.0000, 0.4946)

Largest 10 diffraction maxima, by angle, 2θ from 10° to 90°:
d [Å]	2θ (°)	Rel. int.
3.287	27.1	50.7
3.255	27.4	100.0
2.328	38.7	9.6
2.300	39.2	18.9
1.894	48.0	10.2
1.887	48.2	20.1
1.880	48.4	15.3
1.872	48.6	10.0
1.628	56.5	9.6
1.455	64.0	8.7

=====

For BaSrZn4, a GGA-PBE-relaxed structure gives the theoretical powder diffraction line list in this record (Cu Kα (weighted mean of Kα1 and Kα2)).
Kinematic intensities with the Lorentz-polarization factor, no thermal factor.

Cell and atoms:
Lattice parameters (Å, degrees): 6.3949 6.3949 6.3949 137.52 102.54 92.60
Fractional positions:
Ba (0.0000, 0.0000, 0.0000)
Sr (0.5000, 0.5000, 0.0000)
Zn (0.0877, 0.7540, 0.3337)
Zn (0.4202, 0.7540, 0.6663)
Zn (0.5798, 0.2460, 0.3337)
Zn (0.9123, 0.2460, 0.6663)

Largest 10 diffraction maxima, by angle, 2θ from 10° to 90°:
d [Å]	2θ (°)	Rel. int.
2.968	30.1	100.0
2.313	38.9	48.3
2.209	40.8	13.9
1.825	50.0	23.7
1.598	57.7	29.3
1.434	65.0	7.1
1.432	65.2	14.0
1.382	67.8	6.2
1.187	81.0	5.6
1.144	84.8	6.4